1.
Starting from DFT lattice parameters and positions (PBE), the X-ray diffraction stick pattern of SbAs2Ru2 was simulated for copper Kα.

Most intense lines, 15 to 90 degrees two-theta, most intense first:
two_theta	d (Å)	intensity
32.00	2.797	100.0
35.71	2.514	84.6
46.35	1.959	59.3
44.31	2.044	43.8
57.44	1.604	36.6
44.55	2.034	33.0
66.06	1.414	26.0
80.78	1.190	22.7
32.32	2.770	21.1
56.84	1.620	19.1
67.64	1.385	18.7
78.90	1.213	16.5

abc: 3.9177 3.9177 11.9806
angles: 90.00 90.00 90.00
Space group I4/mmm (No. 139)
Asymmetric unit:
1 Sb 0.0000 0.0000 0.0000 [2 per cell]
2 As 0.0000 0.5000 0.2500 [4 per cell]
3 Ru 0.0000 0.0000 0.3766 [4 per cell]

2.
Starting from DFT lattice parameters and positions (PBE), the X-ray diffraction stick pattern of SbAs3Ru was simulated for copper Kα.

Most intense lines, 15 to 90 degrees two-theta, most intense first:
two_theta	d (Å)	intensity
37.32	2.410	100.0
53.80	1.704	68.3
32.17	2.782	60.0
26.15	3.408	53.3
64.08	1.453	24.1
67.30	1.391	22.9
46.14	1.967	22.4
18.41	4.819	10.9
73.53	1.288	10.9
79.56	1.205	10.7
88.42	1.106	10.3
60.78	1.524	9.6

abc: 4.8193 4.8193 4.8193
angles: 90.00 90.00 90.00
Space group Pm-3m (No. 221)
Asymmetric unit:
1 Sb 0.0000 0.0000 0.0000 [1 per cell]
2 As 0.0000 0.5000 0.5000 [3 per cell]
3 Ru 0.5000 0.5000 0.5000 [1 per cell]

3.
Starting from DFT lattice parameters and positions (PBE), the X-ray diffraction stick pattern of Sc4As6Ru7 was simulated for copper Kα.

Most intense lines, 15 to 90 degrees two-theta, most intense first:
two_theta	d (Å)	intensity
38.25	2.353	100.0
44.46	2.038	67.6
41.45	2.178	36.0
21.81	4.075	32.8
64.69	1.441	32.6
52.67	1.738	25.8
77.71	1.229	21.8
79.80	1.202	16.0
47.32	1.921	15.8
88.06	1.109	15.0
81.88	1.176	8.0
71.33	1.322	7.2

abc: 8.1510 8.1510 8.1510
angles: 90.00 90.00 90.00
Space group Im-3m (No. 229)
Asymmetric unit:
1 Sc 0.2500 0.2500 0.2500 [8 per cell]
2 As 0.0000 0.0000 0.3114 [12 per cell]
3 Ru 0.0000 0.0000 0.0000 [2 per cell]
4 Ru 0.0000 0.2500 0.5000 [12 per cell]

4.
Starting from DFT lattice parameters and positions (PBE), the X-ray diffraction stick pattern of AsRuSe2 was simulated for copper Kα.

Most intense lines, 15 to 90 degrees two-theta, most intense first:
two_theta	d (Å)	intensity
32.69	2.740	100.0
37.12	2.422	93.6
22.45	3.961	65.9
49.69	1.835	63.3
44.62	2.031	59.1
43.70	2.072	42.1
45.28	2.003	41.1
49.44	1.844	40.8
22.96	3.874	39.7
53.01	1.727	36.5
42.75	2.115	32.2
68.08	1.377	30.2

abc: 8.2917 3.6870 6.4296
angles: 90.00 110.86 90.00
Space group Cm (No. 8)
Asymmetric unit:
1 As 0.0000 0.0000 0.0000 [2 per cell]
2 Ru 0.2963 0.0000 0.9966 [2 per cell]
3 Se 0.2080 0.5000 0.6979 [2 per cell]
4 Se 0.3781 0.5000 0.3000 [2 per cell]

5.
Starting from DFT lattice parameters and positions (PBE), the X-ray diffraction stick pattern of U2Sn2AsRu4 was simulated for copper Kα.

Most intense lines, 15 to 90 degrees two-theta, most intense first:
two_theta	d (Å)	intensity
34.77	2.580	100.0
40.38	2.234	67.4
44.15	2.051	40.1
58.42	1.580	32.4
33.21	2.698	25.5
53.23	1.721	24.1
69.84	1.347	22.7
19.88	4.466	22.7
17.18	5.161	16.3
28.26	3.158	15.3
89.87	1.092	10.9
83.02	1.163	10.2

abc: 6.3157 6.3157 8.9516
angles: 90.00 90.00 90.00
Space group I4/mmm (No. 139)
Asymmetric unit:
1 U 0.0000 0.0000 0.1903 [4 per cell]
2 Sn 0.0000 0.5000 0.2500 [4 per cell]
3 As 0.0000 0.0000 0.5000 [2 per cell]
4 Ru 0.2247 0.2247 0.0000 [8 per cell]

6.
Starting from DFT lattice parameters and positions (PBE), the X-ray diffraction stick pattern of TcAs6Ru was simulated for copper Kα.

Most intense lines, 15 to 90 degrees two-theta, most intense first:
two_theta	d (Å)	intensity
32.79	2.731	100.0
47.03	1.932	51.1
20.58	4.317	32.6
54.09	1.695	22.3
51.80	1.765	21.7
32.89	2.723	20.1
29.24	3.054	16.3
38.98	2.311	15.7
51.95	1.760	15.2
54.21	1.692	15.1
47.10	1.929	14.1
47.21	1.925	12.5

abc: 12.1680 8.6418 8.6258
angles: 90.00 134.81 90.00
Space group C2/m (No. 12)
Asymmetric unit:
1 Tc 0.2500 0.2500 0.0000 [4 per cell]
2 As 0.0014 0.1472 0.3491 [8 per cell]
3 As 0.1476 0.3480 0.1492 [8 per cell]
4 As 0.1500 0.5000 0.7966 [4 per cell]
5 As 0.1551 0.5000 0.5070 [4 per cell]
6 Ru 0.2500 0.2500 0.5000 [4 per cell]

7.
Starting from DFT lattice parameters and positions (PBE), the X-ray diffraction stick pattern of TeAsRu2 was simulated for copper Kα.

Most intense lines, 15 to 90 degrees two-theta, most intense first:
two_theta	d (Å)	intensity
34.92	2.569	100.0
44.47	2.037	72.2
43.17	2.095	42.7
44.22	2.048	36.6
29.25	3.053	30.2
57.16	1.611	25.6
32.45	2.759	25.4
24.80	3.590	24.4
36.07	2.490	24.1
33.11	2.705	23.6
48.65	1.872	17.6
75.00	1.266	16.6

abc: 8.3109 3.2223 5.5970
angles: 90.00 99.65 90.00
Space group Cm (No. 8)
Asymmetric unit:
1 Te 0.0000 0.0000 0.0000 [2 per cell]
2 As 0.2894 0.5000 0.4494 [2 per cell]
3 Ru 0.0001 0.5000 0.4037 [2 per cell]
4 Ru 0.2605 0.0000 0.7675 [2 per cell]

8.
Starting from DFT lattice parameters and positions (PBE), the X-ray diffraction stick pattern of Th4As6Ru7 was simulated for copper Kα.

Most intense lines, 15 to 90 degrees two-theta, most intense first:
two_theta	d (Å)	intensity
36.42	2.467	100.0
42.31	2.136	61.1
29.57	3.021	49.5
61.37	1.511	33.2
73.52	1.288	29.1
69.58	1.351	15.7
47.59	1.911	15.7
39.46	2.284	14.4
20.79	4.273	13.2
84.93	1.142	12.8
52.46	1.744	12.2
65.54	1.424	11.0

abc: 8.5452 8.5452 8.5452
angles: 90.00 90.00 90.00
Space group Im-3m (No. 229)
Asymmetric unit:
1 Th 0.2500 0.2500 0.2500 [8 per cell]
2 As 0.0000 0.0000 0.3204 [12 per cell]
3 Ru 0.0000 0.0000 0.0000 [2 per cell]
4 Ru 0.0000 0.2500 0.5000 [12 per cell]

9.
Starting from DFT lattice parameters and positions (PBE), the X-ray diffraction stick pattern of Tm2As7Ru12 was simulated for copper Kα.

Most intense lines, 15 to 90 degrees two-theta, most intense first:
two_theta	d (Å)	intensity
35.98	2.496	100.0
45.24	2.005	24.2
49.49	1.842	22.2
44.83	2.022	18.7
69.28	1.356	16.0
52.48	1.744	11.0
42.86	2.110	10.9
39.11	2.303	10.9
77.43	1.233	10.5
38.45	2.341	7.6
62.68	1.482	6.8
77.96	1.226	6.6

abc: 9.7464 9.7464 4.0091
angles: 90.00 90.00 120.00
Space group P-6 (No. 174)
Asymmetric unit:
1 Tm 0.0000 0.0000 0.0000 [1 per cell]
2 Tm 0.3333 0.6667 0.5000 [1 per cell]
3 As 0.0867 0.4520 0.0000 [3 per cell]
4 As 0.2631 0.2163 0.5000 [3 per cell]
5 As 0.6667 0.3333 0.0000 [1 per cell]
6 Ru 0.0542 0.2807 0.5000 [3 per cell]
7 Ru 0.0941 0.6992 0.0000 [3 per cell]
8 Ru 0.3912 0.1732 0.0000 [3 per cell]
9 Ru 0.5490 0.4262 0.5000 [3 per cell]

10.
Starting from DFT lattice parameters and positions (PBE), the X-ray diffraction stick pattern of TmAs3Ru5 was simulated for copper Kα.

Most intense lines, 15 to 90 degrees two-theta, most intense first:
two_theta	d (Å)	intensity
37.62	2.391	100.0
35.18	2.551	93.9
40.27	2.240	64.2
39.06	2.306	52.5
35.37	2.538	47.7
40.93	2.205	47.2
47.04	1.932	39.0
32.98	2.716	33.4
46.88	1.938	31.5
59.59	1.551	30.6
74.39	1.275	25.1
60.21	1.537	24.5

abc: 3.1030 13.2308 14.2811
angles: 90.00 90.00 90.00
Space group Cmcm (No. 63)
Asymmetric unit:
1 Tm 0.0000 0.1594 0.2500 [4 per cell]
2 As 0.0000 0.1248 0.7500 [4 per cell]
3 As 0.0000 0.3637 0.5507 [8 per cell]
4 Ru 0.0000 0.0000 0.0000 [4 per cell]
5 Ru 0.0000 0.1894 0.5869 [8 per cell]
6 Ru 0.0000 0.4882 0.1561 [8 per cell]

11.
Starting from DFT lattice parameters and positions (PBE), the X-ray diffraction stick pattern of U2As3Ru5 was simulated for copper Kα.

Most intense lines, 15 to 90 degrees two-theta, most intense first:
two_theta	d (Å)	intensity
36.46	2.464	100.0
39.88	2.261	26.4
44.26	2.046	23.5
39.31	2.292	16.1
34.79	2.579	14.6
76.32	1.248	12.1
69.44	1.354	10.7
60.67	1.526	9.3
24.35	3.656	8.3
43.32	2.088	8.2
34.90	2.570	7.6
57.49	1.603	7.1

abc: 4.0926 24.4086 6.6681
angles: 90.00 90.00 90.00
Space group Cmc2_1 (No. 36)
Asymmetric unit:
1 U 0.0000 0.0121 0.0000 [4 per cell]
2 U 0.0000 0.3284 0.9872 [4 per cell]
3 As 0.0000 0.1105 0.2148 [4 per cell]
4 As 0.0000 0.2674 0.4773 [4 per cell]
5 As 0.0000 0.4509 0.2328 [4 per cell]
6 Ru 0.0000 0.1048 0.6432 [4 per cell]
7 Ru 0.0000 0.2049 0.7649 [4 per cell]
8 Ru 0.0000 0.2101 0.1803 [4 per cell]
9 Ru 0.0000 0.3679 0.4676 [4 per cell]
10 Ru 0.0000 0.4408 0.8520 [4 per cell]

12.
Starting from DFT lattice parameters and positions (PBE), the X-ray diffraction stick pattern of U2As3Ru was simulated for copper Kα.

Most intense lines, 15 to 90 degrees two-theta, most intense first:
two_theta	d (Å)	intensity
32.96	2.717	100.0
46.36	1.959	77.9
31.66	2.826	76.8
26.98	3.304	29.4
29.14	3.065	26.0
55.63	1.652	24.3
44.49	2.037	23.4
83.26	1.160	23.0
75.90	1.254	18.8
60.41	1.532	14.8
78.04	1.224	14.5
50.01	1.824	12.9

abc: 4.0730 5.6517 10.9430
angles: 90.00 90.00 90.00
Space group Immm (No. 71)
Asymmetric unit:
1 U 0.0000 0.0000 0.1763 [4 per cell]
2 As 0.0000 0.5000 0.1413 [4 per cell]
3 As 0.0000 0.5000 0.5000 [2 per cell]
4 Ru 0.0000 0.0000 0.5000 [2 per cell]